The following is a calculated powder X-ray diffraction pattern of La4Ni3O8. It was derived from the PBE+U geometry in Alexandria, using Cu Kα X-rays.
Intensities are scaled so that the largest is 100.

Crystal structure
```
15
Lattice="-2.0004 2.0004 13.0060 2.0004 -2.0004 13.0060 2.0004 2.0004 -13.0060" Properties=species:S:1:pos:R:3 pbc="T T T"
La 0.0000 0.0000 1.7203
La 0.0000 0.0000 5.2313
La 0.0000 0.0000 20.7808
La 0.0000 0.0000 24.2918
Ni 0.0000 0.0000 9.7514
Ni 0.0000 0.0000 13.0060
Ni 0.0000 0.0000 16.2607
O 2.0004 0.0000 0.0000
O 2.0004 0.0000 3.2592
O 2.0004 0.0000 6.5030
O 2.0004 0.0000 9.7469
O 0.0000 2.0004 0.0000
O 0.0000 2.0004 3.2592
O 0.0000 2.0004 6.5030
O 0.0000 2.0004 9.7469
```

Largest 10 diffraction maxima, in order of falling intensity, 2θ = 15–90°:
2theta  I (rel.)
32.90  100
31.63  48
57.14  40
45.33  36
42.35  20
22.48  19
38.42  12
66.05  11
28.14  10
75.08  9